No. 1
Computed X-ray diffraction stick pattern of NdSi2BRu2 for CuKα, from a structure optimized by DFT (GGA-PBE).
Neutral-atom scattering factors, no anomalous dispersion.

Crystal structure
Cell: 4.1422 4.1422 5.3961 Å, 90.00 90.00 90.00°
Space group P4/mmm (No. 123)
Symmetry-distinct sites (fractional):
Nd  0.0000  0.0000  0.0000
Si  0.5000  0.5000  0.2235
B  0.0000  0.0000  0.5000
Ru  0.0000  0.5000  0.5000

Largest 12 diffraction maxima, sorted by position, 2θ = 15–90°:
2theta	I/Imax
21.45	12
27.14	24
33.21	21
34.85	100
39.88	23
43.71	37
55.97	19
60.39	16
60.64	13
63.53	12
74.55	21
86.00	10


No. 2
Computed X-ray diffraction stick pattern of Rb2SnAu2 for CuKα, from a structure optimized by DFT (GGA-PBE).
Neutral-atom scattering factors, no anomalous dispersion.

Crystal structure
Cell: 13.2197 5.0681 12.4506 Å, 90.00 119.55 90.00°
Space group C2/m (No. 12)
Symmetry-distinct sites (fractional):
Rb  0.0120  0.0000  0.1642
Rb  0.1859  0.0000  0.5964
Sn  0.2074  0.5000  0.8586
Au  0.0186  0.5000  0.6207
Au  0.1974  0.5000  0.0783

Largest 12 diffraction maxima, sorted by position, 2θ = 15–90°:
2theta	I/Imax
19.14	24
27.01	100
28.14	48
32.36	40
33.08	28
33.44	32
35.42	45
47.83	18
48.73	26
49.25	19
51.70	19
58.63	20


No. 3
Computed X-ray diffraction stick pattern of CsCe2Y2O7 for CuKα, from a structure optimized by DFT (GGA-PBE).
Neutral-atom scattering factors, no anomalous dispersion.

Crystal structure
Cell: 4.6304 4.6304 19.7137 Å, 90.00 90.00 90.00°
Space group I4/mmm (No. 139)
Symmetry-distinct sites (fractional):
Cs  0.0000  0.0000  0.0000
Ce  0.0000  0.0000  0.3887
Y  0.0000  0.5000  0.2500
O  0.0000  0.0000  0.2633
O  0.0000  0.0000  0.5000
O  0.0000  0.5000  0.1354

Largest 12 diffraction maxima, sorted by position, 2θ = 15–90°:
2theta	I/Imax
23.50	91
27.21	27
28.73	100
29.76	95
36.46	42
38.89	94
45.95	31
49.73	46
54.35	90
56.19	28
68.85	23
81.97	24